[1]
Diffraction record for CsAgAs2Se4. The X-ray powder pattern is computed, not measured: it uses a GGA-PBE-relaxed structure and Cu Kα (λ = 1.5418 Å).
Kinematic intensities with the Lorentz-polarization factor, no thermal factor.

Cell and atoms:
Unit cell a=7.662 b=7.662 c=7.662 alpha=132.22 beta=125.32 gamma=75.51
Fractional positions:
Cs  0.000  0.000  0.000
Ag  0.500  0.500  0.000
As  0.230  0.730  0.500
As  0.770  0.270  0.500
Se  0.175  0.582  0.077
Se  0.495  0.418  0.593
Se  0.505  0.098  0.923
Se  0.825  0.902  0.407

Principal peaks in the range 2θ from 5° to 70°, in order of falling intensity:
Position (°2θ), intensity
24.11, 100.0
38.71, 25.5
41.67, 18.1
48.26, 15.6
30.11, 14.9
43.88, 14.8
39.25, 14.7
49.19, 10.1
35.36, 9.5
32.41, 9.1

[2]
Diffraction record for Ho8Tl2Pt. The X-ray powder pattern is computed, not measured: it uses a GGA-PBE-relaxed structure and Cu Kα (λ = 1.5418 Å).
Kinematic intensities with the Lorentz-polarization factor, no thermal factor.

Cell and atoms:
Unit cell a=9.773 b=9.773 c=6.690 alpha=101.95 beta=101.95 gamma=29.90
Fractional positions:
Ho  0.019  0.019  0.276
Ho  0.209  0.209  0.820
Ho  0.353  0.353  0.512
Ho  0.411  0.411  0.046
Ho  0.589  0.589  0.954
Ho  0.647  0.647  0.488
Ho  0.791  0.791  0.180
Ho  0.981  0.981  0.724
Tl  0.186  0.186  0.259
Tl  0.814  0.814  0.741
Pt  0.500  0.500  0.500

Principal peaks in the range 2θ from 5° to 70°, in order of falling intensity:
Position (°2θ), intensity
32.13, 100.0
30.01, 92.6
35.61, 90.3
33.91, 48.0
38.39, 41.4
63.72, 29.9
33.30, 27.9
37.17, 26.8
34.81, 23.2
30.93, 19.2

[3]
Diffraction record for Dy3SBr7. The X-ray powder pattern is computed, not measured: it uses a GGA-PBE-relaxed structure and Cu Kα (λ = 1.5418 Å).
Kinematic intensities with the Lorentz-polarization factor, no thermal factor.

Cell and atoms:
Unit cell a=8.238 b=8.238 c=7.005 alpha=90.00 beta=90.00 gamma=120.00
Fractional positions:
Dy  0.015  0.507  0.000
Dy  0.493  0.507  0.000
Dy  0.493  0.985  0.000
S  0.333  0.667  0.809
Br  0.171  0.342  0.234
Br  0.171  0.829  0.234
Br  0.346  0.173  0.786
Br  0.658  0.829  0.234
Br  0.667  0.333  0.237
Br  0.827  0.173  0.786
Br  0.827  0.654  0.786

Principal peaks in the range 2θ from 5° to 70°, in order of falling intensity:
Position (°2θ), intensity
28.07, 100.0
12.64, 80.1
35.93, 69.8
43.96, 36.8
46.48, 32.3
45.92, 19.8
17.74, 19.6
12.41, 18.2
58.03, 16.6
52.98, 16.1

[4]
Diffraction record for Hf2TiH. The X-ray powder pattern is computed, not measured: it uses a GGA-PBE-relaxed structure and Cu Kα (λ = 1.5418 Å).
Kinematic intensities with the Lorentz-polarization factor, no thermal factor.

Cell and atoms:
Unit cell a=5.559 b=5.559 c=5.559 alpha=105.94 beta=105.94 gamma=116.79
Fractional positions:
Hf  0.033  0.625  0.908
Hf  0.375  0.283  0.408
Hf  0.717  0.125  0.092
Hf  0.875  0.967  0.592
Ti  0.250  0.750  0.500
Ti  0.500  0.500  0.000
H  0.000  0.000  0.000
H  0.750  0.250  0.500

Principal peaks in the range 2θ from 5° to 70°, in order of falling intensity:
Position (°2θ), intensity
33.65, 100.0
36.21, 87.0
26.63, 41.8
51.66, 32.9
43.42, 24.9
42.71, 18.9
56.48, 16.4
20.20, 16.1
64.17, 16.0
38.01, 15.6